Diffraction record for Ba6PtAu2. The XRD peak list is calculated, not measured: it uses DFT lattice parameters and positions (PBE) and a wavelength of 1.5418 Å.
Intensities are scaled so that the largest is 100.

Crystal structure
abc: 7.6207 8.1991 13.9591
angles: 90.00 90.00 90.00
Space group Pnnm (No. 58)
One atom of each set of equivalent atoms:
Ba 0.2257 0.1756 0.0000 x4
Ba 0.2381 0.6627 0.1600 x8
Pt 0.0000 0.5000 0.0000 x2
Au 0.0000 0.0000 0.1754 x4

Largest 6 diffraction maxima, by angle, 10° ≤ 2θ ≤ 90°:
- d 6.689, 13.24°, I 81, hkl 1 0 1
- d 4.359, 20.37°, I 52, hkl 1 1 2
- d 3.574, 24.91°, I 96, hkl 1 1 3
- d 2.791, 32.07°, I 52, hkl 2 2 0
- d 2.774, 32.27°, I 100, hkl 2 1 3
- d 2.357, 38.19°, I 63, hkl 0 3 3

Diffraction record for Ba4PtAu2. The XRD peak list is calculated, not measured: it uses DFT lattice parameters and positions (PBE) and a wavelength of 1.5418 Å.
Intensities are scaled so that the largest is 100.

Crystal structure
abc: 17.2115 4.7104 8.1421
angles: 90.00 118.12 90.00
Space group C2/m (No. 12)
One atom of each set of equivalent atoms:
Ba 0.1217 0.0000 0.4711 x4
Ba 0.1228 0.5000 0.9389 x4
Pt 0.0000 0.5000 0.5000 x2
Au 0.2396 0.0000 0.2384 x4

Largest 6 diffraction maxima, by angle, 10° ≤ 2θ ≤ 90°:
- d 7.174, 12.34°, I 19, hkl 2 0 -1
- d 4.075, 21.81°, I 20, hkl 1 1 -1
- d 3.590, 24.80°, I 69, hkl 1 1 1
- d 2.777, 32.23°, I 100, hkl 5 1 -1
- d 2.353, 38.25°, I 54, hkl 0 2 0
- d 1.796, 50.84°, I 23, hkl 2 2 2